No. 1
Li7Mn2Co3O12: computed X-ray diffraction stick pattern (Cu Kα X-rays), based on a GGA+U-relaxed structure.
Lines closer than 0.1° are merged.

Atomic structure:
```
Li7Mn2Co3O12
1.0
14.634 -1.429 0.000
14.634 1.429 0.000
-0.823 0.000 4.912
Li Mn Co O
7 2 3 12
direct
0.000 0.000 0.000 Li
0.162 0.162 0.822 Li
0.243 0.243 0.251 Li
0.322 0.322 0.678 Li
0.501 0.501 0.498 Li
0.665 0.665 0.314 Li
0.817 0.817 0.182 Li
0.743 0.743 0.751 Mn
0.912 0.912 0.580 Mn
0.078 0.078 0.408 Co
0.413 0.413 0.081 Co
0.578 0.578 0.909 Co
0.042 0.042 0.706 O
0.113 0.113 0.110 O
0.207 0.207 0.556 O
0.281 0.281 0.947 O
0.375 0.375 0.368 O
0.451 0.451 0.791 O
0.542 0.542 0.206 O
0.613 0.613 0.608 O
0.704 0.704 0.013 O
0.784 0.784 0.489 O
0.878 0.878 0.879 O
0.948 0.948 0.284 O
```

Main lines, by angle (5 to 70 degrees two-theta):
two_theta	intensity
6.12	41.1
18.44	100.0
36.78	26.0
44.29	77.5
63.90	13.3
64.97	14.0

No. 2
Li7Mn2Co3O12: computed X-ray diffraction stick pattern (Cu Kα X-rays), based on a GGA+U-relaxed structure.
Lines closer than 0.1° are merged.

Atomic structure:
```
Li7Mn2Co3O12
1.0
6.291 -1.465 0.000
6.291 1.465 0.000
-3.146 0.000 11.724
Li Mn Co O
7 2 3 12
direct
0.000 0.000 0.000 Li
0.003 0.003 0.763 Li
0.336 0.336 0.063 Li
0.340 0.340 0.594 Li
0.660 0.660 0.406 Li
0.664 0.664 0.937 Li
0.997 0.997 0.237 Li
0.332 0.332 0.337 Mn
0.668 0.668 0.663 Mn
0.000 0.000 0.500 Co
0.348 0.348 0.843 Co
0.652 0.652 0.157 Co
0.159 0.159 0.549 O
0.166 0.166 0.765 O
0.173 0.173 0.056 O
0.178 0.178 0.297 O
0.494 0.494 0.393 O
0.495 0.495 0.868 O
0.505 0.505 0.132 O
0.506 0.506 0.607 O
0.822 0.822 0.703 O
0.827 0.827 0.944 O
0.834 0.834 0.235 O
0.841 0.841 0.451 O
```

Main lines, by angle (5 to 70 degrees two-theta):
two_theta	intensity
7.54	21.9
18.10	100.0
35.88	22.4
36.67	15.0
42.91	52.8
44.74	22.7

No. 3
Li7Mn2Co3O12: computed X-ray diffraction stick pattern (Cu Kα X-rays), based on a GGA+U-relaxed structure.
Lines closer than 0.1° are merged.

Atomic structure:
```
Li7Mn2Co3O12
1.0
7.645 -1.460 0.000
7.645 1.460 0.000
-1.730 0.000 9.650
Li Mn Co O
7 2 3 12
direct
0.000 0.000 0.000 Li
0.178 0.178 0.544 Li
0.328 0.328 0.989 Li
0.502 0.502 0.529 Li
0.665 0.665 0.999 Li
0.749 0.749 0.770 Li
0.833 0.833 0.530 Li
0.245 0.245 0.266 Mn
0.914 0.914 0.261 Mn
0.087 0.087 0.766 Co
0.407 0.407 0.760 Co
0.580 0.580 0.269 Co
0.026 0.026 0.374 O
0.130 0.130 0.157 O
0.195 0.195 0.879 O
0.301 0.301 0.644 O
0.371 0.371 0.369 O
0.446 0.446 0.150 O
0.545 0.545 0.871 O
0.619 0.619 0.656 O
0.714 0.714 0.383 O
0.789 0.789 0.156 O
0.881 0.881 0.886 O
0.966 0.966 0.658 O
```

Main lines, by angle (5 to 70 degrees two-theta):
two_theta	intensity
18.39	100.0
35.98	26.8
43.55	82.0
57.48	14.7
63.20	13.8
63.34	14.1